This entry pairs a crystal structure of RbAcCu2As2 with its calculated powder X-ray diffraction pattern. Radiation: Cu Kα, 1.54184 Å. Structure: a PBE-relaxed structure.
Lines closer than 0.1° are merged.

Structural model:
```
data_RbAcCu2As2
_space_group_name_H-M_alt 'P -3 m 1'
_space_group_IT_number 164
_space_group_name_Hall '-P 3 2"'
_cell_length_a 4.3203
_cell_length_b 4.3203
_cell_length_c 9.5712
_cell_angle_alpha 90.00
_cell_angle_beta 90.00
_cell_angle_gamma 120.00
loop_
_atom_site_label
_atom_site_fract_x
_atom_site_fract_y
_atom_site_fract_z
Rb1 0.0000 0.0000 0.0000
Ac1 0.0000 0.0000 0.5000
Cu1 0.3333 0.6667 0.2778
As1 0.3333 0.6667 0.7167
```

Principal peaks in the range 2θ from 10° to 90°, low angle first:
(hkl)  2theta  I (rel.)
1 0 0  23.78  116
0 1 1  25.56  84
0 1 2  30.32  1000
1 0 3  37.03  137
0 0 4  37.59  128
1 1 0  41.82  382
2 0 2  52.52  214
1 1 4  57.48  220
0 1 6  63.39  84
1 2 2  69.28  186

This entry pairs a crystal structure of KBPt3 with its calculated powder X-ray diffraction pattern. Radiation: Cu Kα, 1.54184 Å. Structure: a PBE-relaxed structure.
Lines closer than 0.1° are merged.

Structural model:
```
data_KBPt3
_space_group_name_H-M_alt 'P m m n'
_space_group_IT_number 59
_cell_length_a 2.818
_cell_length_b 7.531
_cell_length_c 8.439
_cell_angle_alpha 90.00
_cell_angle_beta 90.00
_cell_angle_gamma 90.00
loop_
_space_group_symop_operation_xyz
'x,y,z'
'-x,-y,-z'
'-x+1/2,-y+1/2,z'
'x+1/2,y+1/2,-z'
'x+1/2,-y,-z'
'-x+1/2,y,z'
'-x,y+1/2,-z'
'x,-y+1/2,z'
loop_
_atom_site_label
_atom_site_fract_x
_atom_site_fract_y
_atom_site_fract_z
K1 0.250 0.250 0.002
B1 0.250 0.250 0.581
Pt1 0.250 0.562 0.321
Pt2 0.250 0.750 0.631
```

Principal peaks in the range 2θ from 10° to 90°, low angle first:
(hkl)  2theta  I (rel.)
0 0 1  10.48  1000
0 0 2  21.06  138
0 0 3  31.82  457
1 1 0  33.98  202
1 1 1  35.64  174
0 3 1  37.37  311
1 2 1  41.42  342
0 3 2  41.87  228
1 2 2  45.59  328
0 2 5  60.06  130

This entry pairs a crystal structure of Pm5Pr8Pu with its calculated powder X-ray diffraction pattern. Radiation: Cu Kα, 1.54184 Å. Structure: a PBE-relaxed structure.
Lines closer than 0.1° are merged.

Structural model:
```
data_Pm5Pr8Pu
_space_group_name_H-M_alt 'I -4'
_space_group_IT_number 82
_space_group_name_Hall 'I -4'
_cell_length_a 9.840
_cell_length_b 9.840
_cell_length_c 10.266
_cell_angle_alpha 90.00
_cell_angle_beta 90.00
_cell_angle_gamma 90.00
loop_
_atom_site_label
_atom_site_fract_x
_atom_site_fract_y
_atom_site_fract_z
Pm1 0.000 0.000 0.000
Pm2 0.104 0.795 0.579
Pr1 0.066 0.669 0.907
Pr2 0.079 0.804 0.248
Pu1 0.000 0.500 0.250
```

Principal peaks in the range 2θ from 10° to 90°, low angle first:
(hkl)  2theta  I (rel.)
1 0 3  27.60  961
3 0 1  28.57  870
1 3 0  28.69  1000
2 2 2  31.05  282
2 1 3  33.16  962
1 3 2  33.68  633
2 3 1  33.99  618
5 0 3  53.73  236
2 6 0  59.40  279
1 3 6  61.88  283